# 1
For Cs2ZnBiCl6, a DFT-relaxed cell (GGA-PBE, Alexandria) gives the computed X-ray powder pattern in this record (CuKα).
No peak broadening, texture or thermal motion is included.

Most intense lines, 10 to 80 degrees two-theta, low angle first:
| (hkl) | Position (°2θ) | I/Imax |
| --- | --- | --- |
| 1 0 1 | 14.20 | 20 |
| 2 0 0 | 23.17 | 51 |
| 1 1 2 | 23.35 | 100 |
| 2 2 0 | 32.99 | 55 |
| 0 0 4 | 33.52 | 26 |
| 3 1 2 | 40.81 | 48 |
| 2 0 4 | 41.14 | 23 |
| 4 0 0 | 47.35 | 19 |
| 2 2 4 | 47.74 | 37 |
| 3 3 2 | 53.40 | 22 |

Crystal structure
Lattice parameters (Å, degrees): 7.679 7.679 10.694 90.00 90.00 90.00
Space group I4/mmm (No. 139)
Inequivalent atoms, fractional coordinates:
Cs 0.000 0.500 0.250 (multiplicity 4)
Zn 0.000 0.000 0.000 (multiplicity 2)
Bi 0.000 0.000 0.500 (multiplicity 2)
Cl 0.000 0.000 0.235 (multiplicity 4)
Cl 0.244 0.244 0.000 (multiplicity 8)

# 2
For Cu2BiS2Cl, a DFT-relaxed cell (GGA-PBE, Alexandria) gives the computed X-ray powder pattern in this record (CuKα).
No peak broadening, texture or thermal motion is included.

Most intense lines, 10 to 80 degrees two-theta, low angle first:
| (hkl) | Position (°2θ) | I/Imax |
| --- | --- | --- |
| 0 0 1 | 11.67 | 100 |
| 1 0 -1 | 14.08 | 45 |
| 1 1 0 | 21.84 | 46 |
| 1 1 -1 | 22.71 | 61 |
| 2 0 -1 | 24.19 | 48 |
| 1 1 1 | 26.78 | 51 |
| 2 1 0 | 31.17 | 31 |
| 1 0 -3 | 33.46 | 31 |
| 0 2 2 | 43.36 | 27 |
| 2 2 -2 | 46.40 | 34 |

Crystal structure
Lattice parameters (Å, degrees): 7.429 4.999 8.039 90.00 109.37 90.00
Space group P2_1/m (No. 11)
Inequivalent atoms, fractional coordinates:
Cu 0.161 0.001 0.215 (multiplicity 4)
Bi 0.296 0.250 0.558 (multiplicity 2)
S 0.095 0.750 0.423 (multiplicity 2)
S 0.438 0.250 0.292 (multiplicity 2)
Cl 0.148 0.750 0.948 (multiplicity 2)